For Li3Cr3CuO8, a DFT-relaxed cell (PBE+U, the Materials Project) gives the calculated powder diffractogram in this record (Cu Kα, 1.54184 Å).
No peak broadening, texture or thermal motion is included.

Most intense lines, 10° ≤ 2θ ≤ 80°, sorted by position:
index	d/Å	I/Imax
0 0 3	4.823	100
0 2 1	2.508	38
0 0 6	2.412	4
2 0 2	2.402	11
0 2 4	2.083	67
2 0 5	1.912	12
0 2 7	1.605	14
2 0 8	1.475	17
2 2 0	1.471	18
2 2 3	1.407	14
2 2 6	1.255	5
4 0 4	1.201	8

Crystal structure
Cell: 5.8821 5.8821 14.4699 Å, 90.00 90.00 120.00°
Space group R-3m (No. 166, hexagonal axes)
Unique sites:
Li 0.0000 0.5000 0.0000 [9 per cell]
Cr 0.0000 0.5000 0.5000 [9 per cell]
Cu 0.0000 0.0000 0.5000 [3 per cell]
O 0.0000 0.0000 0.2421 [6 per cell]
O 0.0078 0.5039 0.2389 [18 per cell]

For Mn2OF3, a DFT-relaxed cell (PBE+U, the Materials Project) gives the calculated powder diffractogram in this record (Cu Kα, 1.54184 Å).
No peak broadening, texture or thermal motion is included.

Most intense lines, 10° ≤ 2θ ≤ 80°, sorted by position:
index	d/Å	I/Imax
1 1 1	3.381	100
0 0 4	2.739	13
1 1 -3	2.692	26
2 0 -2	2.655	14
2 1 -2	2.320	11
1 1 5	1.815	15
0 2 4	1.798	15
2 2 -2	1.774	16
3 1 -1	1.766	16
2 2 2	1.690	17
2 0 6	1.455	12
1 3 -3	1.429	11

Crystal structure
Cell: 5.7096 4.7691 11.0417 Å, 90.00 97.18 90.00°
Space group P2_1/c (No. 14)
Unique sites:
Mn 0.0000 0.0000 0.0000 [2 per cell]
Mn 0.2398 0.0323 0.7333 [4 per cell]
Mn 0.5000 0.0000 0.5000 [2 per cell]
O 0.2360 0.2033 0.5619 [4 per cell]
F 0.0355 0.6844 0.6740 [4 per cell]
F 0.2633 0.6994 0.4133 [4 per cell]
F 0.4741 0.1929 0.3314 [4 per cell]

For LaNiO3, a DFT-relaxed cell (PBE+U, the Materials Project) gives the calculated powder diffractogram in this record (Cu Kα, 1.54184 Å).
No peak broadening, texture or thermal motion is included.

Most intense lines, 10° ≤ 2θ ≤ 80°, sorted by position:
index	d/Å	I/Imax
0 1 2	3.888	22
1 1 0	2.780	100
1 0 4	2.719	99
2 0 2	2.262	20
0 2 4	1.944	59
3 0 0	1.605	24
2 1 4	1.593	41
0 1 8	1.558	18
2 2 0	1.390	16
2 0 8	1.359	17
1 3 4	1.238	16
1 2 8	1.221	17

Crystal structure
Cell: 5.5607 5.5607 13.1765 Å, 90.00 90.00 120.00°
Space group R-3c (No. 167, hexagonal axes)
Unique sites:
La 0.0000 0.0000 0.2500 [6 per cell]
Ni 0.0000 0.0000 0.0000 [6 per cell]
O 0.0000 0.4366 0.2500 [18 per cell]

For NaMg3AlMo5O20, a DFT-relaxed cell (PBE+U, the Materials Project) gives the calculated powder diffractogram in this record (Cu Kα, 1.54184 Å).
No peak broadening, texture or thermal motion is included.

Most intense lines, 10° ≤ 2θ ≤ 80°, sorted by position:
index	d/Å	I/Imax
1 1 -2	4.522	32
1 1 3	4.108	28
1 -1 2	3.982	45
0 0 5	3.586	86
-1 1 3	3.568	37
2 0 0	3.411	100
0 2 -1	3.367	36
1 2 1	3.317	23
1 2 -1	3.260	23
0 1 -5	3.140	13
1 1 9	1.899	15
1 4 0	1.753	19

Crystal structure
Cell: 6.9578 7.0320 17.9540 Å, 87.74 87.80 78.92°
Space group P-1 (No. 2)
Unique sites:
Na 0.1105 0.3324 0.3090 [2 per cell]
Mg 0.1694 0.0831 0.1130 [2 per cell]
Mg 0.1855 0.8287 0.4925 [2 per cell]
Mg 0.2208 0.5727 0.8738 [2 per cell]
Al 0.2503 0.3023 0.7351 [2 per cell]
Mo 0.2169 0.8223 0.2830 [2 per cell]
Mo 0.2476 0.5460 0.0856 [2 per cell]
Mo 0.2699 0.3071 0.5317 [2 per cell]
Mo 0.2726 0.0618 0.9022 [2 per cell]
Mo 0.3184 0.7829 0.6926 [2 per cell]
O 0.0389 0.6651 0.2676 [2 per cell]
O 0.0875 0.3846 0.1233 [2 per cell]
O 0.1232 0.1341 0.5043 [2 per cell]
O 0.1446 0.8715 0.8795 [2 per cell]
O 0.1604 0.0506 0.2327 [2 per cell]
O 0.1610 0.7940 0.1102 [2 per cell]
O 0.1821 0.8006 0.6103 [2 per cell]
O 0.1932 0.8782 0.3780 [2 per cell]
O 0.2012 0.5323 0.4819 [2 per cell]
O 0.2063 0.1200 0.9953 [2 per cell]
O 0.2266 0.5903 0.7513 [2 per cell]
O 0.2335 0.2866 0.8411 [2 per cell]
O 0.2461 0.3449 0.6314 [2 per cell]
O 0.2517 0.5334 0.9873 [2 per cell]
O 0.2825 0.0235 0.7314 [2 per cell]
O 0.4341 0.2911 0.3315 [2 per cell]
O 0.4703 0.7150 0.2643 [2 per cell]
O 0.4749 0.0356 0.1056 [2 per cell]
O 0.4806 0.4605 0.1240 [2 per cell]
O 0.4835 0.7900 0.4912 [2 per cell]

For BaMnO3, a DFT-relaxed cell (PBE+U, the Materials Project) gives the calculated powder diffractogram in this record (Cu Kα, 1.54184 Å).
No peak broadening, texture or thermal motion is included.

Most intense lines, 10° ≤ 2θ ≤ 80°, sorted by position:
index	d/Å	I/Imax
1 0 0	4.033	13
1 1 0	2.852	100
1 1 1	2.329	20
2 0 0	2.017	34
2 1 0	1.804	7
2 1 1	1.647	38
2 2 0	1.426	20
3 0 0	1.344	4
3 1 0	1.275	17
3 1 1	1.216	7

Crystal structure
Cell: 4.0333 4.0333 4.0333 Å, 90.00 90.00 90.00°
Space group Pm-3m (No. 221)
Unique sites:
Ba 0.0000 0.0000 0.0000 [1 per cell]
Mn 0.5000 0.5000 0.5000 [1 per cell]
O 0.0000 0.5000 0.5000 [3 per cell]

For Co2OF3, a DFT-relaxed cell (PBE+U, the Materials Project) gives the calculated powder diffractogram in this record (Cu Kα, 1.54184 Å).
No peak broadening, texture or thermal motion is included.

Most intense lines, 10° ≤ 2θ ≤ 80°, sorted by position:
index	d/Å	I/Imax
1 1 2	3.407	100
-1 1 2	3.247	90
0 2 -1	2.621	58
0 0 5	2.614	54
2 0 0	2.351	16
1 0 5	2.314	17
1 3 1	1.774	35
1 1 7	1.772	34
2 0 -5	1.723	26
2 2 4	1.704	20
0 2 -6	1.576	20
3 1 -3	1.401	20

Crystal structure
Cell: 4.7094 5.6679 13.3213 Å, 78.99 87.91 87.81°
Space group P1 (No. 1)
Unique sites:
Co 0.0000 0.0000 0.0000 [1 per cell]
Co 0.0020 0.8040 0.5980 [1 per cell]
Co 0.0208 0.5880 0.1946 [1 per cell]
Co 0.4850 0.3125 0.6053 [1 per cell]
Co 0.4884 0.1018 0.2036 [1 per cell]
Co 0.4999 0.9013 0.7988 [1 per cell]
Co 0.5081 0.4972 0.9968 [1 per cell]
Co 0.5404 0.6892 0.3858 [1 per cell]
Co 0.9762 0.2144 0.4057 [1 per cell]
Co 0.9973 0.4032 0.8007 [1 per cell]
O 0.2957 0.2252 0.7389 [1 per cell]
O 0.2990 0.4207 0.1400 [1 per cell]
O 0.7006 0.5829 0.8578 [1 per cell]
O 0.7023 0.3817 0.4616 [1 per cell]
O 0.7037 0.7682 0.2620 [1 per cell]
F 0.1934 0.1257 0.5375 [1 per cell]
F 0.1936 0.9177 0.1409 [1 per cell]
F 0.1963 0.3186 0.9400 [1 per cell]
F 0.1983 0.7236 0.7380 [1 per cell]
F 0.2054 0.5081 0.3395 [1 per cell]
F 0.2903 0.0155 0.3472 [1 per cell]
F 0.3076 0.8196 0.9393 [1 per cell]
F 0.3092 0.6311 0.5292 [1 per cell]
F 0.6910 0.9867 0.6577 [1 per cell]
F 0.6945 0.1800 0.0624 [1 per cell]
F 0.8003 0.0800 0.8601 [1 per cell]
F 0.8013 0.4893 0.6592 [1 per cell]
F 0.8031 0.6810 0.0611 [1 per cell]
F 0.8034 0.8870 0.4579 [1 per cell]
F 0.8106 0.2730 0.2625 [1 per cell]

For NaZr2NiF11, a DFT-relaxed cell (PBE+U, the Materials Project) gives the calculated powder diffractogram in this record (Cu Kα, 1.54184 Å).
No peak broadening, texture or thermal motion is included.

Most intense lines, 10° ≤ 2θ ≤ 80°, sorted by position:
index	d/Å	I/Imax
1 1 0	5.246	31
1 1 -1	4.921	13
2 0 0	4.134	73
1 1 -2	3.401	100
4 0 0	2.067	21
2 2 -3	2.062	9
2 0 -4	1.967	12
1 3 -2	1.961	26
3 3 -2	1.777	17
4 2 0	1.766	23
3 1 2	1.757	10
2 2 -4	1.702	10

Crystal structure
Cell: 9.2074 6.7870 7.8701 Å, 90.00 116.12 90.00°
Space group C2/m (No. 12)
Unique sites:
Na 0.0000 0.0000 0.0000 [2 per cell]
Zr 0.0081 0.5000 0.2377 [4 per cell]
Ni 0.0000 0.0000 0.5000 [2 per cell]
F 0.0000 0.3278 0.0000 [4 per cell]
F 0.0000 0.5000 0.5000 [2 per cell]
F 0.0173 0.2034 0.3148 [8 per cell]
F 0.2315 0.5000 0.8895 [4 per cell]
F 0.2437 0.0000 0.6478 [4 per cell]

For AlNiW2O8, a DFT-relaxed cell (PBE+U, the Materials Project) gives the calculated powder diffractogram in this record (Cu Kα, 1.54184 Å).
No peak broadening, texture or thermal motion is included.

Most intense lines, 10° ≤ 2θ ≤ 80°, sorted by position:
index	d/Å	I/Imax
0 0 1	5.292	53
0 1 0	4.789	100
1 0 -1	3.817	47
1 -1 1	3.630	41
1 0 1	3.210	94
-1 1 1	3.104	87
1 1 -1	2.878	60
0 1 -2	2.772	37
1 -2 1	2.654	50
2 -1 0	2.508	39
1 -2 2	2.198	27
-1 1 2	2.109	26

Crystal structure
Cell: 5.0376 5.5214 5.6681 Å, 108.55 91.96 111.82°
Space group P-1 (No. 2)
Unique sites:
Al 0.0000 0.0000 0.0000 [1 per cell]
Ni 0.5000 0.0000 0.5000 [1 per cell]
W 0.2521 0.4993 0.6862 [2 per cell]
O 0.1497 0.6959 0.4535 [2 per cell]
O 0.2100 0.7773 0.9394 [2 per cell]
O 0.2299 0.2364 0.8264 [2 per cell]
O 0.3264 0.2789 0.3197 [2 per cell]